V2Pb2Se2O11: calculated X-ray powder pattern (Cu Kα (λ = 1.5418 Å)), based on DFT lattice parameters and positions (PBE+U).

Structure:
```
V2Pb2Se2O11
1.0
6.951 0.000 0.000
-0.690 7.261 0.000
-0.595 -1.294 9.992
V Pb Se O
4 4 4 22
Direct
0.157 0.161 0.450
0.166 0.056 0.751
0.834 0.944 0.249
0.843 0.839 0.550
0.324 0.855 0.111
0.371 0.550 0.752
0.629 0.450 0.248
0.676 0.145 0.889
0.157 0.595 0.400
0.166 0.339 0.046
0.834 0.661 0.954
0.843 0.405 0.600
0.034 0.368 0.376
0.050 0.181 0.909
0.056 0.300 0.629
0.130 0.023 0.292
0.168 0.976 0.566
0.237 0.530 0.965
0.244 0.876 0.821
0.266 0.600 0.254
0.369 0.217 0.773
0.379 0.268 0.465
0.381 0.247 0.077
0.619 0.753 0.923
0.621 0.732 0.535
0.631 0.783 0.227
0.734 0.400 0.746
0.756 0.124 0.179
0.763 0.470 0.035
0.832 0.024 0.434
0.870 0.977 0.708
0.944 0.700 0.371
0.950 0.819 0.091
0.966 0.632 0.624
```

Main lines, sorted by position (2θ = 10–80°):
d_spacing  2theta  intensity  (hkl)
4.737  18.7  28.6  1 -1 1
4.192  21.2  20.5  1 0 -2
3.232  27.6  36.6  1 1 2
3.187  28.0  18.4  0 1 -3
3.117  28.6  48.6  0 2 -2
3.088  28.9  100.0  1 0 -3
3.078  29.0  34.9  2 -1 1
2.964  30.1  22.3  2 1 -1
2.221  40.6  17.3  -1 1 4
2.084  43.4  22.8  -3 1 2